# 1
Structure and simulated powder X-ray diffraction pattern of KLi2NbAg (the GGA-PBE geometry in Alexandria; Cu Kα (weighted mean of Kα1 and Kα2)).

Structure:
a b c (Å): 5.4642 5.4642 5.4357
angles (deg): 90.00 90.00 90.00
Fractional coordinates of all 5 atoms:
K  0.0000  0.0000  0.0000
Li  0.0000  0.5000  0.5000
Li  0.5000  0.0000  0.5000
Nb  0.5000  0.5000  0.5000
Ag  0.5000  0.5000  0.0000

Top 8 peaks for 10° ≤ 2θ ≤ 80°, by angle:
2θ 16.22, 5.463 Å, rel. 100; 2θ 23.02, 3.864 Å, rel. 91; 2θ 32.78, 2.732 Å, rel. 42; 2θ 36.78, 2.443 Å, rel. 27; 2θ 36.94, 2.433 Å, rel. 25; 2θ 40.58, 2.223 Å, rel. 38; 2θ 47.17, 1.927 Å, rel. 29; 2θ 50.21, 1.817 Å, rel. 21


# 2
Structure and simulated powder X-ray diffraction pattern of Nd4SmHo2Tm (the GGA-PBE geometry in Alexandria; Cu Kα (weighted mean of Kα1 and Kα2)).

Structure:
a b c (Å): 5.1168 5.1433 10.1034
angles (deg): 90.00 90.00 90.00
Fractional coordinates of all 8 atoms:
Nd  0.0000  0.0000  0.2479
Nd  0.0000  0.0000  0.7521
Nd  0.5000  0.5000  0.2476
Nd  0.5000  0.5000  0.7524
Sm  0.0000  0.5000  0.5000
Ho  0.0000  0.5000  0.0000
Ho  0.5000  0.0000  0.5000
Tm  0.5000  0.0000  0.0000

Top 8 peaks for 10° ≤ 2θ ≤ 80°, by angle:
2θ 30.33, 2.947 Å, rel. 100; 2θ 34.89, 2.572 Å, rel. 17; 2θ 35.07, 2.558 Å, rel. 17; 2θ 35.54, 2.526 Å, rel. 16; 2θ 59.76, 1.547 Å, rel. 15; 2θ 60.01, 1.542 Å, rel. 14; 2θ 60.63, 1.527 Å, rel. 14; 2θ 63.10, 1.473 Å, rel. 12


# 3
Structure and simulated powder X-ray diffraction pattern of Tb5CeNdDy2 (the GGA-PBE geometry in Alexandria; Cu Kα (weighted mean of Kα1 and Kα2)).

Structure:
a b c (Å): 11.1577 11.1577 9.6115
angles (deg): 90.00 90.00 150.29
Fractional coordinates of all 18 atoms:
Tb  0.0126  0.9874  0.5000
Tb  0.2666  0.7334  0.1808
Tb  0.3062  0.6938  0.7985
Tb  0.3939  0.6061  0.4736
Tb  0.4711  0.5289  0.7681
Tb  0.5289  0.4711  0.2681
Tb  0.6061  0.3939  0.9736
Tb  0.6938  0.3062  0.2985
Tb  0.7334  0.2666  0.6808
Tb  0.9874  0.0126  0.0000
Ce  0.1941  0.8059  0.4914
Ce  0.8059  0.1941  0.9914
Nd  0.4031  0.5969  0.0908
Nd  0.5969  0.4031  0.5908
Dy  0.1133  0.8867  0.1916
Dy  0.1367  0.8633  0.8096
Dy  0.8633  0.1367  0.3096
Dy  0.8867  0.1133  0.6916

Top 8 peaks for 10° ≤ 2θ ≤ 80°, by angle:
2θ 26.47, 3.367 Å, rel. 25; 2θ 31.27, 2.861 Å, rel. 61; 2θ 31.97, 2.800 Å, rel. 100; 2θ 32.29, 2.772 Å, rel. 66; 2θ 34.36, 2.610 Å, rel. 43; 2θ 41.42, 2.180 Å, rel. 15; 2θ 56.11, 1.639 Å, rel. 25; 2θ 63.83, 1.458 Å, rel. 15


# 4
Structure and simulated powder X-ray diffraction pattern of HoMg3Ag3 (the GGA-PBE geometry in Alexandria; Cu Kα (weighted mean of Kα1 and Kα2)).

Structure:
a b c (Å): 7.2200 7.2200 7.2200
angles (deg): 90.00 90.00 90.00
Fractional coordinates of all 14 atoms:
Ho  0.0000  0.0000  0.0000
Ho  0.5000  0.5000  0.5000
Mg  0.0000  0.2500  0.5000
Mg  0.0000  0.7500  0.5000
Mg  0.2500  0.5000  0.0000
Mg  0.5000  0.0000  0.2500
Mg  0.5000  0.0000  0.7500
Mg  0.7500  0.5000  0.0000
Ag  0.0000  0.5000  0.2500
Ag  0.0000  0.5000  0.7500
Ag  0.2500  0.0000  0.5000
Ag  0.5000  0.2500  0.0000
Ag  0.5000  0.7500  0.0000
Ag  0.7500  0.0000  0.5000

Top 8 peaks for 10° ≤ 2θ ≤ 80°, by angle:
2θ 24.66, 3.610 Å, rel. 42; 2θ 27.63, 3.229 Å, rel. 42; 2θ 30.32, 2.948 Å, rel. 100; 2θ 47.10, 1.930 Å, rel. 58; 2θ 50.57, 1.805 Å, rel. 21; 2θ 57.05, 1.614 Å, rel. 16; 2θ 60.11, 1.539 Å, rel. 14; 2θ 71.58, 1.318 Å, rel. 16


# 5
Structure and simulated powder X-ray diffraction pattern of PaSi2Tc2Os (the GGA-PBE geometry in Alexandria; Cu Kα (weighted mean of Kα1 and Kα2)).

Structure:
a b c (Å): 3.8166 3.8166 15.9229
angles (deg): 90.00 90.00 90.00
Fractional coordinates of all 12 atoms:
Pa  0.0000  0.0000  0.0000
Pa  0.5000  0.5000  0.5000
Si  0.0000  0.0000  0.3494
Si  0.0000  0.0000  0.6506
Si  0.5000  0.5000  0.1506
Si  0.5000  0.5000  0.8494
Tc  0.0000  0.5000  0.2500
Tc  0.0000  0.5000  0.7500
Tc  0.5000  0.0000  0.2500
Tc  0.5000  0.0000  0.7500
Os  0.0000  0.0000  0.5000
Os  0.5000  0.5000  0.0000

Top 8 peaks for 10° ≤ 2θ ≤ 80°, by angle:
2θ 11.11, 7.961 Å, rel. 34; 2θ 22.33, 3.981 Å, rel. 71; 2θ 35.11, 2.556 Å, rel. 100; 2θ 45.58, 1.990 Å, rel. 14; 2θ 47.65, 1.908 Å, rel. 27; 2θ 48.09, 1.892 Å, rel. 51; 2θ 53.23, 1.721 Å, rel. 28; 2θ 68.06, 1.377 Å, rel. 16


# 6
Structure and simulated powder X-ray diffraction pattern of Sc2Al2S (the GGA-PBE geometry in Alexandria; Cu Kα (weighted mean of Kα1 and Kα2)).

Structure:
a b c (Å): 6.7024 6.7024 4.5591
angles (deg): 90.00 90.00 90.00
Fractional coordinates of all 10 atoms:
Sc  0.1666  0.3334  0.0000
Sc  0.3334  0.8334  0.0000
Sc  0.6666  0.1666  0.0000
Sc  0.8334  0.6666  0.0000
Al  0.1377  0.6377  0.5000
Al  0.3623  0.1377  0.5000
Al  0.6377  0.8623  0.5000
Al  0.8623  0.3623  0.5000
S  0.0000  0.0000  0.0000
S  0.5000  0.5000  0.0000

Top 8 peaks for 10° ≤ 2θ ≤ 80°, by angle:
2θ 19.47, 4.559 Å, rel. 27; 2θ 27.14, 3.286 Å, rel. 11; 2θ 35.85, 2.505 Å, rel. 100; 2θ 39.53, 2.280 Å, rel. 25; 2θ 42.66, 2.119 Å, rel. 29; 2θ 59.56, 1.552 Å, rel. 20; 2θ 60.46, 1.531 Å, rel. 11; 2θ 69.33, 1.355 Å, rel. 13


# 7
Structure and simulated powder X-ray diffraction pattern of CsK3Cu4Br12 (the GGA-PBE geometry in Alexandria; Cu Kα (weighted mean of Kα1 and Kα2)).

Structure:
a b c (Å): 9.7559 9.7559 9.7559
angles (deg): 98.37 98.37 98.37
Fractional coordinates of all 20 atoms:
Cs  0.0000  0.0000  0.0000
K  0.0000  0.5342  0.4658
K  0.4658  0.0000  0.5342
K  0.5342  0.4658  0.0000
Cu  0.0426  0.5000  0.9574
Cu  0.5000  0.5000  0.5000
Cu  0.5000  0.9574  0.0426
Cu  0.9574  0.0426  0.5000
Br  0.0243  0.1983  0.3591
Br  0.1170  0.8830  0.5000
Br  0.1983  0.3591  0.0243
Br  0.3433  0.6567  0.5000
Br  0.3591  0.0243  0.1983
Br  0.5000  0.1170  0.8830
Br  0.5000  0.3433  0.6567
Br  0.6409  0.8017  0.9757
Br  0.6567  0.5000  0.3433
Br  0.8017  0.9757  0.6409
Br  0.8830  0.5000  0.1170
Br  0.9757  0.6409  0.8017

Top 8 peaks for 10° ≤ 2θ ≤ 80°, by angle:
2θ 18.68, 4.750 Å, rel. 100; 2θ 19.39, 4.577 Å, rel. 17; 2θ 22.24, 3.998 Å, rel. 23; 2θ 28.11, 3.174 Å, rel. 22; 2θ 28.72, 3.108 Å, rel. 19; 2θ 30.68, 2.914 Å, rel. 26; 2θ 33.03, 2.712 Å, rel. 21; 2θ 42.41, 2.131 Å, rel. 20


# 8
Structure and simulated powder X-ray diffraction pattern of ZnCrIn2Cl6 (the GGA-PBE geometry in Alexandria; Cu Kα (weighted mean of Kα1 and Kα2)).

Structure:
a b c (Å): 6.9692 7.0138 7.8421
angles (deg): 70.72 63.74 60.29
Fractional coordinates of all 10 atoms:
Zn  0.0000  0.0000  0.0000
Cr  0.5321  0.6090  0.3294
In  0.2510  0.3538  0.1450
In  0.8232  0.7339  0.6286
Cl  0.2135  0.8200  0.7500
Cl  0.2157  0.8869  0.2093
Cl  0.3245  0.3868  0.4861
Cl  0.6885  0.8883  0.2104
Cl  0.8056  0.3873  0.4857
Cl  0.8156  0.3728  0.9987

Top 8 peaks for 10° ≤ 2θ ≤ 80°, by angle:
2θ 20.82, 4.267 Å, rel. 52; 2θ 23.33, 3.812 Å, rel. 91; 2θ 25.58, 3.482 Å, rel. 100; 2θ 31.46, 2.843 Å, rel. 37; 2θ 33.19, 2.699 Å, rel. 72; 2θ 36.51, 2.461 Å, rel. 44; 2θ 45.10, 2.010 Å, rel. 28; 2θ 52.54, 1.742 Å, rel. 38


# 9
Structure and simulated powder X-ray diffraction pattern of Cr4C3 (the GGA-PBE geometry in Alexandria; Cu Kα (weighted mean of Kα1 and Kα2)).

Structure:
a b c (Å): 4.0070 4.0070 4.0070
angles (deg): 90.00 90.00 90.00
Fractional coordinates of all 7 atoms:
Cr  0.0000  0.0000  0.0000
Cr  0.0000  0.5000  0.5000
Cr  0.5000  0.0000  0.5000
Cr  0.5000  0.5000  0.0000
C  0.0000  0.0000  0.5000
C  0.0000  0.5000  0.0000
C  0.5000  0.0000  0.0000

Top 6 peaks for 10° ≤ 2θ ≤ 80°, by angle:
2θ 22.18, 4.007 Å, rel. 2; 2θ 31.58, 2.833 Å, rel. 1; 2θ 38.93, 2.313 Å, rel. 100; 2θ 45.26, 2.004 Å, rel. 82; 2θ 65.94, 1.417 Å, rel. 45; 2θ 79.30, 1.208 Å, rel. 31


# 10
Structure and simulated powder X-ray diffraction pattern of La2Pr5Tl3 (the GGA-PBE geometry in Alexandria; Cu Kα (weighted mean of Kα1 and Kα2)).

Structure:
a b c (Å): 10.8110 10.8110 10.8110
angles (deg): 104.50 87.21 142.96
Fractional coordinates of all 20 atoms:
La  0.2097  0.1443  0.3540
La  0.2903  0.6443  0.9347
La  0.7097  0.3557  0.0653
La  0.7903  0.8557  0.6460
Pr  0.1609  0.4224  0.5832
Pr  0.2500  0.2500  0.0000
Pr  0.2500  0.5079  0.2579
Pr  0.2500  0.9921  0.7421
Pr  0.3391  0.9224  0.2615
Pr  0.6609  0.0776  0.7385
Pr  0.7500  0.0079  0.2579
Pr  0.7500  0.4921  0.7421
Pr  0.7500  0.7500  0.0000
Pr  0.8391  0.5776  0.4168
Tl  0.1456  0.8666  0.0122
Tl  0.2500  0.7500  0.5000
Tl  0.3544  0.3666  0.7210
Tl  0.6456  0.6334  0.2790
Tl  0.7500  0.2500  0.5000
Tl  0.8544  0.1334  0.9878

Top 8 peaks for 10° ≤ 2θ ≤ 80°, by angle:
2θ 25.31, 3.519 Å, rel. 31; 2θ 28.38, 3.145 Å, rel. 100; 2θ 29.30, 3.048 Å, rel. 74; 2θ 34.27, 2.617 Å, rel. 50; 2θ 34.37, 2.609 Å, rel. 35; 2θ 34.75, 2.581 Å, rel. 50; 2θ 35.52, 2.527 Å, rel. 37; 2θ 37.75, 2.383 Å, rel. 73


# 11
Structure and simulated powder X-ray diffraction pattern of NdTh4Sc (the GGA-PBE geometry in Alexandria; Cu Kα (weighted mean of Kα1 and Kα2)).

Structure:
a b c (Å): 6.1206 3.5687 8.6550
angles (deg): 90.00 90.35 90.00
Fractional coordinates of all 6 atoms:
Nd  0.0000  0.0000  0.0000
Th  0.1703  0.5000  0.3424
Th  0.3381  0.0000  0.6723
Th  0.6619  0.0000  0.3277
Th  0.8297  0.5000  0.6576
Sc  0.5000  0.5000  0.0000

Top 8 peaks for 10° ≤ 2θ ≤ 80°, by angle:
2θ 10.22, 8.655 Å, rel. 33; 2θ 30.82, 2.902 Å, rel. 100; 2θ 30.97, 2.888 Å, rel. 94; 2θ 35.71, 2.515 Å, rel. 65; 2θ 36.05, 2.492 Å, rel. 31; 2θ 51.60, 1.771 Å, rel. 35; 2θ 61.05, 1.518 Å, rel. 29; 2θ 61.30, 1.512 Å, rel. 27


# 12
Structure and simulated powder X-ray diffraction pattern of Pa2Fe5Ge3 (the GGA-PBE geometry in Alexandria; Cu Kα (weighted mean of Kα1 and Kα2)).

Structure:
a b c (Å): 11.9737 11.9737 6.6348
angles (deg): 90.00 90.00 161.14
Fractional coordinates of all 20 atoms:
Pa  0.0187  0.9813  0.5000
Pa  0.3420  0.6580  0.9860
Pa  0.6580  0.3420  0.4860
Pa  0.9813  0.0187  0.0000
Fe  0.1134  0.8866  0.2224
Fe  0.2061  0.7939  0.1094
Fe  0.2108  0.7892  0.7397
Fe  0.3536  0.6464  0.4946
Fe  0.4541  0.5459  0.2863
Fe  0.5459  0.4541  0.7863
Fe  0.6464  0.3536  0.9946
Fe  0.7892  0.2108  0.2397
Fe  0.7939  0.2061  0.6094
Fe  0.8866  0.1134  0.7224
Ge  0.1113  0.8887  0.8180
Ge  0.2550  0.7450  0.4201
Ge  0.4423  0.5577  0.6887
Ge  0.5577  0.4423  0.1887
Ge  0.7450  0.2550  0.9201
Ge  0.8887  0.1113  0.3180

Top 8 peaks for 10° ≤ 2θ ≤ 80°, by angle:
2θ 25.36, 3.512 Å, rel. 23; 2θ 32.59, 2.747 Å, rel. 55; 2θ 33.21, 2.698 Å, rel. 28; 2θ 35.38, 2.537 Å, rel. 32; 2θ 37.29, 2.412 Å, rel. 100; 2θ 41.39, 2.182 Å, rel. 39; 2θ 46.28, 1.962 Å, rel. 31; 2θ 59.57, 1.552 Å, rel. 16


# 13
Structure and simulated powder X-ray diffraction pattern of La3Er7 (the GGA-PBE geometry in Alexandria; Cu Kα (weighted mean of Kα1 and Kα2)).

Structure:
a b c (Å): 9.4898 9.4898 7.1513
angles (deg): 101.36 101.36 31.09
Fractional coordinates of all 10 atoms:
La  0.0000  0.0000  0.0000
La  0.1974  0.1974  0.6026
La  0.8026  0.8026  0.3974
Er  0.0000  0.0000  0.5000
Er  0.1999  0.1999  0.1006
Er  0.3996  0.3996  0.1974
Er  0.4010  0.4010  0.6989
Er  0.5990  0.5990  0.3011
Er  0.6004  0.6004  0.8026
Er  0.8001  0.8001  0.8994

Top 8 peaks for 10° ≤ 2θ ≤ 80°, by angle:
2θ 30.55, 2.926 Å, rel. 100; 2θ 35.31, 2.542 Å, rel. 34; 2θ 35.65, 2.518 Å, rel. 17; 2θ 50.79, 1.798 Å, rel. 12; 2θ 51.05, 1.789 Å, rel. 24; 2θ 60.44, 1.532 Å, rel. 29; 2θ 60.90, 1.521 Å, rel. 14; 2θ 63.59, 1.463 Å, rel. 12